Record 1
For AgIrPd, a crystal structure in Alexandria, relaxed with GGA-PBE gives the calculated X-ray diffraction stick pattern in this record (Cu Kα).
Neutral-atom scattering factors, no anomalous dispersion.

Largest 10 diffraction maxima, low angle first, 10° ≤ 2θ ≤ 90°:
- (0 0 1), 12.67 deg, I = 20
- (0 0 3), 38.65 deg, I = 33
- (1 0 1), 39.45 deg, I = 100
- (0 1 2), 45.64 deg, I = 66
- (1 0 4), 65.98 deg, I = 21
- (1 1 0), 67.07 deg, I = 20
- (0 1 5), 79.17 deg, I = 13
- (1 1 3), 80.18 deg, I = 24
- (0 2 1), 80.69 deg, I = 12
- (2 0 2), 84.91 deg, I = 11

Atomic structure:
Cell lengths 2.7908, 2.7908, 6.9880 Å; angles 90.00, 90.00, 120.00 degrees
Space group P3m1 (No. 156)
Symmetry-distinct sites (fractional):
Ag1 0.0000 0.0000 0.0000 [1 per cell]
Ir1 0.6667 0.3333 0.3440 [1 per cell]
Pd1 0.3333 0.6667 0.6585 [1 per cell]

***

Record 2
For Pm4Ag2Ir, a crystal structure in Alexandria, relaxed with GGA-PBE gives the calculated X-ray diffraction stick pattern in this record (Cu Kα).
Neutral-atom scattering factors, no anomalous dispersion.

Largest 10 diffraction maxima, low angle first, 10° ≤ 2θ ≤ 90°:
- (0 0 3), 10.57 deg, I = 22
- (1 0 1), 20.19 deg, I = 17
- (1 1 0), 34.79 deg, I = 100
- (0 1 8), 34.94 deg, I = 93
- (1 1 9), 48.04 deg, I = 11
- (2 0 8), 50.13 deg, I = 33
- (3 0 0), 62.43 deg, I = 52
- (1 0 16), 62.76 deg, I = 14
- (3 1 8), 83.98 deg, I = 15
- (2 1 16), 84.25 deg, I = 12

Atomic structure:
Cell lengths 5.1580, 5.1580, 25.1065 Å; angles 90.00, 90.00, 120.00 degrees
Space group R-3m (No. 166, hexagonal axes)
Symmetry-distinct sites (fractional):
Pm1 0.0000 0.0000 0.1191 [6 per cell]
Pm2 0.0000 0.0000 0.3707 [6 per cell]
Ag1 0.0000 0.0000 0.2442 [6 per cell]
Ir1 0.0000 0.0000 0.0000 [3 per cell]

***

Record 3
For Pm5Ag2Ir2, a crystal structure in Alexandria, relaxed with GGA-PBE gives the calculated X-ray diffraction stick pattern in this record (Cu Kα).
Neutral-atom scattering factors, no anomalous dispersion.

Largest 10 diffraction maxima, low angle first, 10° ≤ 2θ ≤ 90°:
- (2 0 0), 11.29 deg, I = 76
- (2 2 1), 28.12 deg, I = 24
- (3 1 2), 30.65 deg, I = 87
- (4 0 2), 32.18 deg, I = 36
- (0 2 2), 32.42 deg, I = 34
- (4 2 0), 32.55 deg, I = 33
- (4 2 1), 34.52 deg, I = 100
- (1 1 3), 36.51 deg, I = 62
- (1 3 1), 37.17 deg, I = 59
- (5 1 2), 38.47 deg, I = 52

Atomic structure:
Cell lengths 15.6765, 7.7259, 7.8979 Å; angles 90.00, 90.00, 90.00 degrees
Space group Cmce (No. 64)
Symmetry-distinct sites (fractional):
Pm1 0.0000 0.0000 0.0000 [4 per cell]
Pm2 0.1232 0.1687 0.3298 [16 per cell]
Ag1 0.2105 0.0000 0.0000 [8 per cell]
Ir1 0.0000 0.1326 0.6318 [8 per cell]

***

Record 4
For Pr4Ag2Ir, a crystal structure in Alexandria, relaxed with GGA-PBE gives the calculated X-ray diffraction stick pattern in this record (Cu Kα).
Neutral-atom scattering factors, no anomalous dispersion.

Largest 10 diffraction maxima, low angle first, 10° ≤ 2θ ≤ 90°:
- (0 0 3), 10.43 deg, I = 23
- (1 0 1), 19.89 deg, I = 18
- (1 1 0), 34.26 deg, I = 100
- (0 1 8), 34.44 deg, I = 92
- (1 1 9), 47.32 deg, I = 12
- (2 0 8), 49.37 deg, I = 33
- (3 0 0), 61.35 deg, I = 18
- (1 2 8), 61.46 deg, I = 34
- (1 0 16), 61.80 deg, I = 14
- (3 1 8), 82.49 deg, I = 15

Atomic structure:
Cell lengths 5.2344, 5.2344, 25.4561 Å; angles 90.00, 90.00, 120.00 degrees
Space group R-3m (No. 166, hexagonal axes)
Symmetry-distinct sites (fractional):
Pr1 0.0000 0.0000 0.1187 [6 per cell]
Pr2 0.0000 0.0000 0.3705 [6 per cell]
Ag1 0.0000 0.0000 0.2436 [6 per cell]
Ir1 0.0000 0.0000 0.0000 [3 per cell]

***

Record 5
For AgIrPt2, a crystal structure in Alexandria, relaxed with GGA-PBE gives the calculated X-ray diffraction stick pattern in this record (Cu Kα).
Neutral-atom scattering factors, no anomalous dispersion.

Largest 10 diffraction maxima, low angle first, 10° ≤ 2θ ≤ 90°:
- (0 0 1), 15.51 deg, I = 12
- (0 1 2), 38.81 deg, I = 100
- (1 1 0), 39.55 deg, I = 96
- (1 0 2), 45.52 deg, I = 64
- (0 2 0), 45.63 deg, I = 32
- (1 2 2), 66.43 deg, I = 41
- (1 1 4), 79.13 deg, I = 24
- (0 3 2), 79.76 deg, I = 12
- (1 3 0), 80.24 deg, I = 13
- (2 1 2), 80.56 deg, I = 24

Atomic structure:
Cell lengths 2.7801, 3.9760, 5.7142 Å; angles 90.00, 90.00, 90.00 degrees
Space group Pmmm (No. 47)
Symmetry-distinct sites (fractional):
Ag1 0.0000 0.0000 0.0000 [1 per cell]
Ir1 0.0000 0.0000 0.5000 [1 per cell]
Pt1 0.5000 0.5000 0.2632 [2 per cell]

***

Record 6
For Ag2IrPt, a crystal structure in Alexandria, relaxed with GGA-PBE gives the calculated X-ray diffraction stick pattern in this record (Cu Kα).
Neutral-atom scattering factors, no anomalous dispersion.

Largest 10 diffraction maxima, low angle first, 10° ≤ 2θ ≤ 90°:
- (0 0 4), 36.67 deg, I = 35
- (0 2 0), 37.50 deg, I = 34
- (1 1 2), 41.65 deg, I = 100
- (0 2 4), 53.46 deg, I = 24
- (2 0 0), 66.82 deg, I = 6
- (1 1 6), 69.43 deg, I = 21
- (1 3 2), 70.49 deg, I = 21
- (2 0 4), 78.71 deg, I = 8
- (2 2 0), 79.22 deg, I = 8
- (0 2 8), 89.91 deg, I = 5

Atomic structure:
Cell lengths 2.8003, 4.7963, 9.8020 Å; angles 90.00, 90.00, 90.00 degrees
Space group Cmm2 (No. 35)
Symmetry-distinct sites (fractional):
Ag1 0.0000 0.0000 0.0000 [2 per cell]
Ag2 0.0000 0.5000 0.2573 [2 per cell]
Ir1 0.0000 0.0000 0.5081 [2 per cell]
Pt1 0.0000 0.5000 0.7462 [2 per cell]

***

Record 7
For Ag2IrPt, a crystal structure in Alexandria, relaxed with GGA-PBE gives the calculated X-ray diffraction stick pattern in this record (Cu Kα).
Neutral-atom scattering factors, no anomalous dispersion.

Largest 10 diffraction maxima, low angle first, 10° ≤ 2θ ≤ 90°:
- (0 0 2), 18.01 deg, I = 13
- (0 0 4), 36.48 deg, I = 37
- (0 2 0), 37.33 deg, I = 35
- (1 1 2), 41.90 deg, I = 100
- (0 2 4), 53.18 deg, I = 25
- (1 1 6), 69.37 deg, I = 22
- (1 3 2), 70.45 deg, I = 21
- (2 0 4), 79.54 deg, I = 11
- (2 2 0), 80.03 deg, I = 7
- (0 2 8), 89.34 deg, I = 6

Atomic structure:
Cell lengths 2.7645, 4.8181, 9.8520 Å; angles 90.00, 90.00, 90.00 degrees
Space group Immm (No. 71)
Symmetry-distinct sites (fractional):
Ag1 0.0000 0.0000 0.2485 [4 per cell]
Ir1 0.0000 0.5000 0.5000 [2 per cell]
Pt1 0.0000 0.5000 0.0000 [2 per cell]

***

Record 8
For ReAgIr, a crystal structure in Alexandria, relaxed with GGA-PBE gives the calculated X-ray diffraction stick pattern in this record (Cu Kα).
Neutral-atom scattering factors, no anomalous dispersion.

Largest 10 diffraction maxima, low angle first, 10° ≤ 2θ ≤ 90°:
- (0 0 1), 12.54 deg, I = 26
- (0 0 3), 38.25 deg, I = 34
- (1 0 1), 39.67 deg, I = 100
- (0 1 2), 45.72 deg, I = 70
- (1 0 4), 65.68 deg, I = 20
- (1 1 0), 67.61 deg, I = 21
- (0 1 5), 78.63 deg, I = 14
- (1 1 3), 80.44 deg, I = 24
- (0 2 1), 81.34 deg, I = 13
- (2 0 2), 85.46 deg, I = 12

Atomic structure:
Cell lengths 2.7712, 2.7712, 7.0584 Å; angles 90.00, 90.00, 120.00 degrees
Space group P3m1 (No. 156)
Symmetry-distinct sites (fractional):
Re1 0.0000 0.0000 0.0000 [1 per cell]
Ag1 0.6667 0.3333 0.3507 [1 per cell]
Ir1 0.3333 0.6667 0.7019 [1 per cell]

***

Record 9
For Ag2IrRh, a crystal structure in Alexandria, relaxed with GGA-PBE gives the calculated X-ray diffraction stick pattern in this record (Cu Kα).
Neutral-atom scattering factors, no anomalous dispersion.

Largest 10 diffraction maxima, low angle first, 10° ≤ 2θ ≤ 90°:
- (0 0 1), 14.88 deg, I = 20
- (0 1 2), 38.18 deg, I = 100
- (1 1 0), 39.58 deg, I = 100
- (1 0 2), 44.25 deg, I = 65
- (0 2 0), 47.07 deg, I = 30
- (1 2 2), 66.59 deg, I = 38
- (1 1 4), 76.47 deg, I = 18
- (2 1 2), 79.16 deg, I = 23
- (1 3 0), 82.36 deg, I = 12
- (2 2 0), 85.26 deg, I = 13

Atomic structure:
Cell lengths 2.8195, 3.8610, 5.9527 Å; angles 90.00, 90.00, 90.00 degrees
Space group Pmm2 (No. 25)
Symmetry-distinct sites (fractional):
Ag1 0.0000 0.0000 0.0000 [1 per cell]
Ag2 0.5000 0.5000 0.2478 [1 per cell]
Ir1 0.0000 0.0000 0.5329 [1 per cell]
Rh1 0.5000 0.5000 0.7129 [1 per cell]

***

Record 10
For AgIr3Ru, a crystal structure in Alexandria, relaxed with GGA-PBE gives the calculated X-ray diffraction stick pattern in this record (Cu Kα).
Neutral-atom scattering factors, no anomalous dispersion.

Largest 10 diffraction maxima, low angle first, 10° ≤ 2θ ≤ 90°:
- (1 0 0), 18.89 deg, I = 29
- (1 1 1), 33.03 deg, I = 100
- (2 0 0), 38.32 deg, I = 93
- (2 1 0), 43.06 deg, I = 14
- (2 2 0), 55.32 deg, I = 64
- (3 0 0), 58.99 deg, I = 7
- (3 1 1), 65.96 deg, I = 41
- (2 2 2), 69.29 deg, I = 22
- (4 0 0), 82.06 deg, I = 10
- (4 1 0), 85.17 deg, I = 4

Atomic structure:
Cell lengths 4.6974, 4.6974, 4.6974 Å; angles 90.00, 90.00, 90.00 degrees
Space group Pm-3m (No. 221)
Symmetry-distinct sites (fractional):
Ag1 0.0000 0.0000 0.0000 [1 per cell]
Ir1 0.0000 0.5000 0.5000 [3 per cell]
Ru1 0.5000 0.5000 0.5000 [1 per cell]

***

Record 11
For AgIr5S8, a crystal structure in Alexandria, relaxed with GGA-PBE gives the calculated X-ray diffraction stick pattern in this record (Cu Kα).
Neutral-atom scattering factors, no anomalous dispersion.

Largest 10 diffraction maxima, low angle first, 10° ≤ 2θ ≤ 90°:
- (1 1 1), 15.28 deg, I = 19
- (2 2 0), 25.08 deg, I = 21
- (3 1 1), 29.50 deg, I = 100
- (2 2 2), 30.84 deg, I = 22
- (4 0 0), 35.77 deg, I = 22
- (5 1 1), 47.02 deg, I = 43
- (4 4 0), 51.48 deg, I = 52
- (5 3 3), 60.45 deg, I = 14
- (5 5 3), 72.27 deg, I = 22
- (5 5 5), 83.34 deg, I = 14

Atomic structure:
Cell lengths 10.0424, 10.0424, 10.0424 Å; angles 90.00, 90.00, 90.00 degrees
Space group F-43m (No. 216)
Symmetry-distinct sites (fractional):
Ag1 0.0000 0.0000 0.0000 [4 per cell]
Ir1 0.1263 0.1263 0.6263 [16 per cell]
Ir2 0.2500 0.2500 0.2500 [4 per cell]
S1 0.1153 0.1153 0.3847 [16 per cell]
S2 0.1407 0.1407 0.8593 [16 per cell]

***

Record 12
For UAg2Ir2S6, a crystal structure in Alexandria, relaxed with GGA-PBE gives the calculated X-ray diffraction stick pattern in this record (Cu Kα).
Neutral-atom scattering factors, no anomalous dispersion.

Largest 10 diffraction maxima, low angle first, 10° ≤ 2θ ≤ 90°:
- (0 0 1), 13.28 deg, I = 86
- (0 0 2), 26.74 deg, I = 40
- (1 3 0), 29.62 deg, I = 21
- (2 0 0), 30.08 deg, I = 30
- (1 3 -1), 30.97 deg, I = 51
- (1 3 1), 34.12 deg, I = 100
- (2 0 -2), 35.16 deg, I = 49
- (2 0 2), 45.64 deg, I = 21
- (1 3 -3), 47.70 deg, I = 37
- (3 3 -1), 51.86 deg, I = 29

Atomic structure:
Cell lengths 6.1308, 10.5035, 6.8793 Å; angles 90.00, 104.28, 90.00 degrees
Space group C2/m (No. 12)
Symmetry-distinct sites (fractional):
U1 0.0000 0.0000 0.0000 [2 per cell]
Ag1 0.0000 0.1423 0.5000 [4 per cell]
Ir1 0.0000 0.3326 0.0000 [4 per cell]
S1 0.1903 0.5000 0.2163 [4 per cell]
S2 0.2466 0.1877 0.2163 [8 per cell]